# 1
Diffraction record for Al2Ag3Au7. The PXRD pattern is simulated, not measured: it uses a cell relaxed with PBE and copper Kα.

Structural model:
Cell lengths 4.9588, 5.2850, 9.3045 Å; angles 88.55, 83.59, 67.78 degrees
Sites, in units of the cell vectors:
Al 0.0470 0.0736 0.2204
Al 0.9530 0.9264 0.7796
Ag 0.4674 0.4602 0.8367
Ag 0.5000 0.5000 0.5000
Ag 0.5326 0.5398 0.1633
Au 0.0000 0.0000 0.5000
Au 0.0187 0.5290 0.3343
Au 0.0394 0.2415 0.9579
Au 0.4676 0.9676 0.6842
Au 0.5324 0.0324 0.3158
Au 0.9606 0.7585 0.0421
Au 0.9813 0.4710 0.6657

Main lines, sorted by position (2θ from 15° to 90°):
- 2θ = 25.9°, rel. 390
- 2θ = 29.0°, rel. 367
- 2θ = 29.8°, rel. 335
- 2θ = 34.5°, rel. 672
- 2θ = 36.7°, rel. 337
- 2θ = 37.6°, rel. 1000
- 2θ = 38.2°, rel. 665
- 2θ = 39.5°, rel. 983
- 2θ = 41.5°, rel. 893
- 2θ = 43.0°, rel. 356
- 2θ = 43.1°, rel. 688
- 2θ = 56.3°, rel. 304

***

# 2
Diffraction record for Tm5ThIr6. The PXRD pattern is simulated, not measured: it uses a cell relaxed with PBE and copper Kα.

Structural model:
Cell lengths 7.5215, 7.5215, 7.0677 Å; angles 90.00, 90.00, 143.11 degrees
Sites, in units of the cell vectors:
Tm 0.0000 0.0000 0.0000
Tm 0.3292 0.6708 0.5000
Tm 0.3323 0.6677 0.0000
Tm 0.6677 0.3323 0.0000
Tm 0.6708 0.3292 0.5000
Th 0.0000 0.0000 0.5000
Ir 0.1668 0.8332 0.2475
Ir 0.1668 0.8332 0.7525
Ir 0.5000 0.5000 0.2448
Ir 0.5000 0.5000 0.7552
Ir 0.8332 0.1668 0.2475
Ir 0.8332 0.1668 0.7525

Main lines, sorted by position (2θ from 15° to 90°):
- 2θ = 36.9°, rel. 1000
- 2θ = 37.8°, rel. 467
- 2θ = 51.7°, rel. 96
- 2θ = 54.6°, rel. 164
- 2θ = 65.8°, rel. 187
- 2θ = 67.7°, rel. 345
- 2θ = 78.5°, rel. 114
- 2θ = 80.8°, rel. 53
- 2θ = 87.8°, rel. 89

***

# 3
Diffraction record for Ba9Rh2Au4. The PXRD pattern is simulated, not measured: it uses a cell relaxed with PBE and copper Kα.

Structural model:
Cell lengths 8.0386, 8.0386, 22.7426 Å; angles 90.01, 90.01, 60.01 degrees
Sites, in units of the cell vectors:
Ba 0.1757 0.5035 0.9133
Ba 0.1765 0.8201 0.4134
Ba 0.1793 0.4969 0.5867
Ba 0.1799 0.8235 0.0866
Ba 0.1989 0.8011 0.7500
Ba 0.2000 0.4990 0.2500
Ba 0.4969 0.1793 0.0867
Ba 0.4965 0.8243 0.5867
Ba 0.4990 0.2000 0.7500
Ba 0.5010 0.8000 0.2500
Ba 0.5035 0.1757 0.4133
Ba 0.5031 0.8207 0.9133
Ba 0.8000 0.5010 0.7500
Ba 0.8011 0.1989 0.2500
Ba 0.8201 0.1765 0.9134
Ba 0.8207 0.5031 0.4133
Ba 0.8235 0.1799 0.5866
Ba 0.8243 0.4965 0.0867
Rh 0.4995 0.5004 0.8396
Rh 0.5004 0.4995 0.3396
Rh 0.4996 0.5005 0.6604
Rh 0.5005 0.4996 0.1604
Au 0.1662 0.1671 0.6715
Au 0.1664 0.1667 0.9986
Au 0.1671 0.1662 0.1715
Au 0.1667 0.1664 0.4986
Au 0.8333 0.8336 0.5014
Au 0.8329 0.8338 0.8285
Au 0.8336 0.8333 0.0014
Au 0.8338 0.8329 0.3285

Main lines, sorted by position (2θ from 15° to 90°):
- 2θ = 20.2°, rel. 199
- 2θ = 25.1°, rel. 803
- 2θ = 26.8°, rel. 105
- 2θ = 32.5°, rel. 1000
- 2θ = 37.7°, rel. 103
- 2θ = 38.8°, rel. 566
- 2θ = 42.2°, rel. 193
- 2θ = 46.8°, rel. 131
- 2θ = 48.0°, rel. 104
- 2θ = 51.5°, rel. 267
- 2θ = 63.4°, rel. 254
- 2θ = 66.3°, rel. 236

***

# 4
Diffraction record for Li2As. The PXRD pattern is simulated, not measured: it uses a cell relaxed with PBE and copper Kα.

Structural model:
Cell lengths 5.2882, 5.2882, 5.2882 Å; angles 107.96, 107.96, 112.55 degrees
Sites, in units of the cell vectors:
Li 0.2207 0.7207 0.9414
Li 0.2793 0.2207 0.5000
Li 0.7207 0.7793 0.5000
Li 0.7793 0.2793 0.0586
As 0.2500 0.2500 0.0000
As 0.7500 0.7500 0.0000

Main lines, sorted by position (2θ from 15° to 90°):
- 2θ = 20.2°, rel. 1000
- 2θ = 28.7°, rel. 321
- 2θ = 30.4°, rel. 135
- 2θ = 36.8°, rel. 433
- 2θ = 41.0°, rel. 196
- 2θ = 42.3°, rel. 363
- 2θ = 46.2°, rel. 229
- 2θ = 52.0°, rel. 122
- 2θ = 56.3°, rel. 239
- 2θ = 67.3°, rel. 129
- 2θ = 75.7°, rel. 121
- 2θ = 78.3°, rel. 102